# Li2Ti2V5O12
Simulated X-ray diffraction stick pattern, Cu Kα (weighted mean of Kα1 and Kα2). Input: a structure optimized by DFT (GGA+U).
Kinematic intensities with the Lorentz-polarization factor, no thermal factor.

Atomic structure:
```
data_Li2Ti2V5O12
_cell_length_a 5.1371
_cell_length_b 9.1272
_cell_length_c 9.9202
_cell_angle_alpha 90.00
_cell_angle_beta 101.26
_cell_angle_gamma 90.00
_space_group_name_H-M_alt 'P 1 21 1'
_space_group_IT_number 4
loop_
_space_group_symop_operation_xyz
'x,y,z'
'-x,y+1/2,-z'
loop_
_atom_site_label
_atom_site_fract_x
_atom_site_fract_y
_atom_site_fract_z
Li1 0.0111 0.0000 0.2360
Li2 0.2562 0.9914 0.0007
Ti1 0.2723 0.1612 0.5059
Ti2 0.2806 0.6637 0.0117
V1 0.0095 0.1489 0.7585
V2 0.2391 0.8318 0.5090
V3 0.2466 0.3382 0.0132
V4 0.2468 0.4826 0.5064
V5 0.4974 0.1565 0.2419
O1 0.0995 0.8064 0.1169
O2 0.1132 0.3062 0.6194
O3 0.1231 0.5101 0.1148
O4 0.1274 0.0070 0.6166
O5 0.1294 0.6553 0.6196
O6 0.1451 0.1587 0.1220
O7 0.3519 0.5109 0.8889
O8 0.3599 0.0070 0.3841
O9 0.3658 0.6608 0.3931
O10 0.3730 0.1718 0.8886
O11 0.3863 0.3095 0.3900
O12 0.3856 0.8069 0.8864
```

Most intense lines, 10 to 80 degrees two-theta, by angle:
2θ 18.2, d = 4.865 Å, rel. 52; 2θ 19.5, d = 4.564 Å, rel. 26; 2θ 20.6, d = 4.303 Å, rel. 21; 2θ 23.5, d = 3.782 Å, rel. 36; 2θ 26.8, d = 3.328 Å, rel. 15; 2θ 36.6, d = 2.455 Å, rel. 14; 2θ 42.3, d = 2.139 Å, rel. 100; 2θ 43.6, d = 2.077 Å, rel. 47; 2θ 62.2, d = 1.492 Å, rel. 25; 2θ 62.4, d = 1.488 Å, rel. 24

---

# Li4Ti5VO12
Simulated X-ray diffraction stick pattern, Cu Kα (weighted mean of Kα1 and Kα2). Input: a structure optimized by DFT (GGA+U).
Kinematic intensities with the Lorentz-polarization factor, no thermal factor.

Atomic structure:
```
data_Li4Ti5VO12
_cell_length_a 5.1483
_cell_length_b 8.9911
_cell_length_c 10.4016
_cell_angle_alpha 90.00
_cell_angle_beta 90.35
_cell_angle_gamma 90.00
_space_group_name_H-M_alt 'C 1 2/m 1'
_space_group_IT_number 12
loop_
_space_group_symop_operation_xyz
'x,y,z'
'-x,-y,-z'
'-x,y,-z'
'x,-y,z'
'x+1/2,y+1/2,z'
'-x+1/2,-y+1/2,-z'
'-x+1/2,y+1/2,-z'
'x+1/2,-y+1/2,z'
loop_
_atom_site_label
_atom_site_fract_x
_atom_site_fract_y
_atom_site_fract_z
Li1 0.0928 0.2463 0.2489
Ti1 0.0000 0.1637 0.5000
Ti2 0.0000 0.3386 0.0000
Ti3 0.0000 0.5000 0.5000
V1 0.0000 0.0000 0.0000
O1 0.1462 0.5000 0.8982
O2 0.1644 0.0000 0.6025
O3 0.1668 0.3286 0.6081
O4 0.1757 0.1820 0.8920
```

Most intense lines, 10 to 80 degrees two-theta, by angle:
2θ 17.0, d = 5.201 Å, rel. 100; 2θ 35.7, d = 2.513 Å, rel. 25; 2θ 38.9, d = 2.314 Å, rel. 13; 2θ 43.6, d = 2.078 Å, rel. 16; 2θ 43.7, d = 2.072 Å, rel. 19; 2θ 49.7, d = 1.835 Å, rel. 8; 2θ 56.7, d = 1.624 Å, rel. 9; 2θ 56.9, d = 1.619 Å, rel. 9; 2θ 63.0, d = 1.475 Å, rel. 8; 2θ 63.1, d = 1.473 Å, rel. 8

---

# Li2TiV3O8
Simulated X-ray diffraction stick pattern, Cu Kα (weighted mean of Kα1 and Kα2). Input: a structure optimized by DFT (GGA+U).
Kinematic intensities with the Lorentz-polarization factor, no thermal factor.

Atomic structure:
```
data_Li2TiV3O8
_cell_length_a 5.9338
_cell_length_b 6.0280
_cell_length_c 8.5855
_cell_angle_alpha 90.75
_cell_angle_beta 90.18
_cell_angle_gamma 90.70
_space_group_name_H-M_alt 'P 1'
_space_group_IT_number 1
loop_
_space_group_symop_operation_xyz
'x,y,z'
loop_
_atom_site_label
_atom_site_fract_x
_atom_site_fract_y
_atom_site_fract_z
Li1 0.0000 0.0000 0.0000
Li2 0.0002 0.4986 0.4982
Li3 0.4990 0.4969 0.4974
Li4 0.4999 0.9979 0.9980
Ti1 0.2504 0.7494 0.2489
Ti2 0.7491 0.2514 0.7488
V1 0.2487 0.2447 0.7481
V2 0.4989 0.4984 0.9983
V3 0.4990 0.9980 0.5000
V4 0.7498 0.7466 0.2479
V5 0.9990 0.4986 0.0000
V6 0.9988 0.9989 0.4976
O1 0.0009 0.4633 0.7602
O2 0.0009 0.5309 0.2389
O3 0.0053 0.0352 0.7404
O4 0.2457 0.7628 0.4780
O5 0.2495 0.2637 0.9791
O6 0.2501 0.2329 0.5168
O7 0.2513 0.7345 0.0195
O8 0.4952 0.4599 0.7554
O9 0.4997 0.9638 0.2600
O10 0.5010 0.0313 0.7393
O11 0.5051 0.5352 0.2410
O12 0.7473 0.2625 0.9782
O13 0.7485 0.7328 0.0168
O14 0.7485 0.7641 0.4789
O15 0.7522 0.2346 0.5195
O16 0.9937 0.9601 0.2548
```

Most intense lines, 10 to 80 degrees two-theta, by angle:
2θ 17.9, d = 4.963 Å, rel. 100; 2θ 34.9, d = 2.572 Å, rel. 10; 2θ 35.2, d = 2.552 Å, rel. 11; 2θ 35.6, d = 2.525 Å, rel. 10; 2θ 42.1, d = 2.146 Å, rel. 21; 2θ 42.5, d = 2.127 Å, rel. 21; 2θ 43.0, d = 2.101 Å, rel. 20; 2θ 55.5, d = 1.657 Å, rel. 6; 2θ 61.6, d = 1.506 Å, rel. 11; 2θ 62.6, d = 1.483 Å, rel. 6

---

# Li2TiV3O8
Simulated X-ray diffraction stick pattern, Cu Kα (weighted mean of Kα1 and Kα2). Input: a structure optimized by DFT (GGA+U).
Kinematic intensities with the Lorentz-polarization factor, no thermal factor.

Atomic structure:
```
data_Li2TiV3O8
_cell_length_a 5.9922
_cell_length_b 6.0206
_cell_length_c 10.3168
_cell_angle_alpha 73.40
_cell_angle_beta 89.38
_cell_angle_gamma 60.48
_space_group_name_H-M_alt 'P -1'
_space_group_IT_number 2
loop_
_space_group_symop_operation_xyz
'x,y,z'
'-x,-y,-z'
loop_
_atom_site_label
_atom_site_fract_x
_atom_site_fract_y
_atom_site_fract_z
Li1 0.0000 0.0000 0.0000
Li2 0.2440 0.0038 0.7505
Li3 0.5000 0.0000 0.5000
Ti1 0.2508 0.4811 0.2506
V1 0.0000 0.5000 0.0000
V2 0.0000 0.5000 0.5000
V3 0.2520 0.4989 0.7513
V4 0.5000 0.5000 0.0000
V5 0.5000 0.5000 0.5000
O1 0.0942 0.2846 0.8643
O2 0.1119 0.2873 0.3699
O3 0.1325 0.7011 0.3829
O4 0.1522 0.7171 0.8847
O5 0.3482 0.2843 0.6165
O6 0.3608 0.2873 0.1212
O7 0.3902 0.7012 0.1251
O8 0.4069 0.7151 0.6355
```

Most intense lines, 10 to 80 degrees two-theta, by angle:
2θ 17.9, d = 4.960 Å, rel. 100; 2θ 34.9, d = 2.569 Å, rel. 11; 2θ 35.4, d = 2.538 Å, rel. 22; 2θ 42.1, d = 2.144 Å, rel. 21; 2θ 42.8, d = 2.114 Å, rel. 41; 2θ 46.5, d = 1.954 Å, rel. 6; 2θ 56.2, d = 1.636 Å, rel. 9; 2θ 61.3, d = 1.513 Å, rel. 10; 2θ 61.9, d = 1.498 Å, rel. 11; 2θ 62.6, d = 1.484 Å, rel. 6

---

# Li2TiV3O8
Simulated X-ray diffraction stick pattern, Cu Kα (weighted mean of Kα1 and Kα2). Input: a structure optimized by DFT (GGA+U).
Kinematic intensities with the Lorentz-polarization factor, no thermal factor.

Atomic structure:
```
data_Li2TiV3O8
_cell_length_a 6.0034
_cell_length_b 6.0034
_cell_length_c 14.5175
_cell_angle_alpha 90.00
_cell_angle_beta 90.00
_cell_angle_gamma 120.00
_space_group_name_H-M_alt 'R -3 m'
_space_group_IT_number 166
_space_group_name_Hall '-R 3 2"'
loop_
_atom_site_label
_atom_site_fract_x
_atom_site_fract_y
_atom_site_fract_z
Li1 0.0000 0.0000 0.1262
Ti1 0.0000 0.0000 0.5000
V1 0.0000 0.5000 0.0000
O1 0.0000 0.0000 0.2624
O2 0.0341 0.5171 0.2523
```

Most intense lines, 10 to 80 degrees two-theta, by angle:
2θ 18.1, d = 4.895 Å, rel. 100; 2θ 18.3, d = 4.839 Å, rel. 33; 2θ 35.1, d = 2.559 Å, rel. 17; 2θ 35.2, d = 2.551 Å, rel. 29; 2θ 35.4, d = 2.535 Å, rel. 15; 2θ 42.8, d = 2.113 Å, rel. 79; 2θ 56.6, d = 1.627 Å, rel. 13; 2θ 61.8, d = 1.501 Å, rel. 24; 2θ 62.4, d = 1.488 Å, rel. 23; 2θ 65.0, d = 1.434 Å, rel. 9

---

# Li2TiVO4
Simulated X-ray diffraction stick pattern, Cu Kα (weighted mean of Kα1 and Kα2). Input: a structure optimized by DFT (GGA+U).
Kinematic intensities with the Lorentz-polarization factor, no thermal factor.

Atomic structure:
```
data_Li2TiVO4
_cell_length_a 5.2048
_cell_length_b 11.7112
_cell_length_c 5.2076
_cell_angle_alpha 90.00
_cell_angle_beta 111.62
_cell_angle_gamma 90.00
_space_group_name_H-M_alt 'P 1 2 1'
_space_group_IT_number 3
loop_
_space_group_symop_operation_xyz
'x,y,z'
'-x,y,-z'
loop_
_atom_site_label
_atom_site_fract_x
_atom_site_fract_y
_atom_site_fract_z
Li1 0.0000 0.0000 0.0000
Li2 0.0000 0.1232 0.5000
Li3 0.0000 0.4985 0.0000
Li4 0.0000 0.6277 0.5000
Li5 0.5000 0.2515 0.5000
Li6 0.5000 0.3750 0.0000
Li7 0.5000 0.7501 0.5000
Li8 0.5000 0.8750 0.0000
Ti1 0.0000 0.2454 0.0000
Ti2 0.0000 0.7522 0.0000
Ti3 0.5000 0.5037 0.5000
Ti4 0.5000 0.9975 0.5000
V1 0.0000 0.3758 0.5000
V2 0.0000 0.8770 0.5000
V3 0.5000 0.1274 0.0000
V4 0.5000 0.6213 0.0000
O1 0.2246 0.2550 0.7630
O2 0.2288 0.7485 0.7722
O3 0.2450 0.3746 0.2555
O4 0.2482 0.8750 0.2522
O5 0.2495 0.1262 0.2450
O6 0.2551 0.6243 0.2499
O7 0.2608 0.4955 0.7261
O8 0.2699 0.0024 0.7322
```

Most intense lines, 10 to 80 degrees two-theta, by angle:
2θ 23.9, d = 3.731 Å, rel. 100; 2θ 37.1, d = 2.421 Å, rel. 13; 2θ 38.1, d = 2.359 Å, rel. 18; 2θ 42.0, d = 2.153 Å, rel. 34; 2θ 43.7, d = 2.070 Å, rel. 61; 2θ 50.4, d = 1.810 Å, rel. 22; 2θ 58.0, d = 1.590 Å, rel. 9; 2θ 62.2, d = 1.492 Å, rel. 34; 2θ 63.6, d = 1.463 Å, rel. 16; 2θ 79.1, d = 1.210 Å, rel. 15

---

Copy entry 6 word for word.
# Li2TiVO4
Simulated X-ray diffraction stick pattern, Cu Kα (weighted mean of Kα1 and Kα2). Input: a structure optimized by DFT (GGA+U).
Kinematic intensities with the Lorentz-polarization factor, no thermal factor.

Atomic structure:
```
data_Li2TiVO4
_cell_length_a 5.2048
_cell_length_b 11.7112
_cell_length_c 5.2076
_cell_angle_alpha 90.00
_cell_angle_beta 111.62
_cell_angle_gamma 90.00
_space_group_name_H-M_alt 'P 1 2 1'
_space_group_IT_number 3
loop_
_space_group_symop_operation_xyz
'x,y,z'
'-x,y,-z'
loop_
_atom_site_label
_atom_site_fract_x
_atom_site_fract_y
_atom_site_fract_z
Li1 0.0000 0.0000 0.0000
Li2 0.0000 0.1232 0.5000
Li3 0.0000 0.4985 0.0000
Li4 0.0000 0.6277 0.5000
Li5 0.5000 0.2515 0.5000
Li6 0.5000 0.3750 0.0000
Li7 0.5000 0.7501 0.5000
Li8 0.5000 0.8750 0.0000
Ti1 0.0000 0.2454 0.0000
Ti2 0.0000 0.7522 0.0000
Ti3 0.5000 0.5037 0.5000
Ti4 0.5000 0.9975 0.5000
V1 0.0000 0.3758 0.5000
V2 0.0000 0.8770 0.5000
V3 0.5000 0.1274 0.0000
V4 0.5000 0.6213 0.0000
O1 0.2246 0.2550 0.7630
O2 0.2288 0.7485 0.7722
O3 0.2450 0.3746 0.2555
O4 0.2482 0.8750 0.2522
O5 0.2495 0.1262 0.2450
O6 0.2551 0.6243 0.2499
O7 0.2608 0.4955 0.7261
O8 0.2699 0.0024 0.7322
```

Most intense lines, 10 to 80 degrees two-theta, by angle:
2θ 23.9, d = 3.731 Å, rel. 100; 2θ 37.1, d = 2.421 Å, rel. 13; 2θ 38.1, d = 2.359 Å, rel. 18; 2θ 42.0, d = 2.153 Å, rel. 34; 2θ 43.7, d = 2.070 Å, rel. 61; 2θ 50.4, d = 1.810 Å, rel. 22; 2θ 58.0, d = 1.590 Å, rel. 9; 2θ 62.2, d = 1.492 Å, rel. 34; 2θ 63.6, d = 1.463 Å, rel. 16; 2θ 79.1, d = 1.210 Å, rel. 15